Calculated X-ray diffraction stick pattern
Compound: LiCoPO4
Radiation: CuKα
Structure: a GGA+U-relaxed structure
Kinematic intensities with the Lorentz-polarization factor, no thermal factor.

Atomic structure:
Cell: 10.131 5.080 13.591 Å, 90.00 90.00 90.00°
Space group Pca2_1 (No. 29)
Symmetry-distinct sites (fractional):
1 Li 0.032 0.078 0.000 x4
2 Li 0.218 0.450 0.245 x4
3 Co 0.034 0.936 0.250 x4
4 Co 0.216 0.452 0.496 x4
5 P 0.033 0.568 0.873 x4
6 P 0.218 0.953 0.624 x4
7 O 0.006 0.870 0.873 x4
8 O 0.029 0.554 0.467 x4
9 O 0.032 0.552 0.279 x4
10 O 0.067 0.005 0.627 x4
11 O 0.183 0.509 0.872 x4
12 O 0.216 0.066 0.219 x4
13 O 0.225 0.089 0.030 x4
14 O 0.249 0.654 0.620 x4

Top 12 peaks for 2θ from 10° to 90°, low angle first:
2θ = 21.86°, I 100
2θ = 26.39°, I 8
2θ = 27.82°, I 6
2θ = 31.82°, I 9
2θ = 35.34°, I 16
2θ = 35.44°, I 15
2θ = 36.42°, I 9
2θ = 37.59°, I 7
2θ = 41.70°, I 8
2θ = 41.98°, I 10
2θ = 43.77°, I 8
2θ = 53.97°, I 6